Diffraction record for HfTi2TcRh. The powder diffractogram is simulated, not measured: it uses the GGA-PBE geometry in Alexandria and Cu Kα, 1.54184 Å.
Neutral-atom scattering factors, no anomalous dispersion.

Atomic structure:
Lattice parameters (Å, degrees): 4.757 4.757 4.564 90.00 90.00 90.00
Atoms (fractional coordinates):
Hf1 0.000 0.000 0.000
Ti1 0.000 0.500 0.000
Ti2 0.500 0.000 0.000
Tc1 0.000 0.000 0.500
Rh1 0.500 0.500 0.500

Top 6 peaks for 10° ≤ 2θ ≤ 90°, low angle first:
2theta  Rel. int.
18.7  75.5
26.5  92.3
27.1  69.2
37.8  100.0
39.5  44.2
55.8  62.9

---

Diffraction record for CeTh9O20. The powder diffractogram is simulated, not measured: it uses the GGA-PBE geometry in Alexandria and Cu Kα, 1.54184 Å.
Neutral-atom scattering factors, no anomalous dispersion.

Atomic structure:
Lattice parameters (Å, degrees): 6.864 7.925 8.861 102.92 97.42 106.77
Atoms (fractional coordinates):
Ce1 0.000 0.000 0.000
Th1 0.000 0.500 0.000
Th2 0.199 0.399 0.399
Th3 0.199 0.900 0.399
Th4 0.399 0.299 0.800
Th5 0.400 0.801 0.801
Th6 0.600 0.199 0.199
Th7 0.601 0.701 0.200
Th8 0.801 0.100 0.601
Th9 0.801 0.601 0.601
O1 0.050 0.223 0.851
O2 0.050 0.728 0.852
O3 0.150 0.175 0.550
O4 0.150 0.675 0.550
O5 0.247 0.123 0.247
O6 0.249 0.625 0.250
O7 0.347 0.074 0.951
O8 0.350 0.575 0.950
O9 0.450 0.525 0.650
O10 0.451 0.025 0.650
O11 0.549 0.975 0.350
O12 0.550 0.475 0.350
O13 0.650 0.425 0.050
O14 0.653 0.926 0.049
O15 0.751 0.375 0.750
O16 0.753 0.877 0.753
O17 0.850 0.325 0.450
O18 0.850 0.825 0.450
O19 0.950 0.272 0.148
O20 0.950 0.777 0.149

Top 6 peaks for 10° ≤ 2θ ≤ 90°, low angle first:
2theta  Rel. int.
27.6  100.0
31.9  36.4
45.8  50.6
54.3  47.7
73.7  19.6
84.7  16.9

---

Diffraction record for ScIn6Hg12. The powder diffractogram is simulated, not measured: it uses the GGA-PBE geometry in Alexandria and Cu Kα, 1.54184 Å.
Neutral-atom scattering factors, no anomalous dispersion.

Atomic structure:
Lattice parameters (Å, degrees): 7.519 8.161 8.190 83.27 86.67 88.03
Atoms (fractional coordinates):
Sc1 0.000 0.000 0.000
In1 0.099 0.682 0.249
In2 0.293 0.032 0.264
In3 0.323 0.239 0.856
In4 0.677 0.761 0.144
In5 0.707 0.968 0.736
In6 0.901 0.318 0.751
Hg1 0.035 0.337 0.129
Hg2 0.141 0.993 0.629
Hg3 0.205 0.534 0.587
Hg4 0.352 0.823 0.926
Hg5 0.426 0.463 0.198
Hg6 0.494 0.223 0.507
Hg7 0.506 0.777 0.493
Hg8 0.574 0.537 0.802
Hg9 0.648 0.177 0.074
Hg10 0.795 0.466 0.413
Hg11 0.859 0.007 0.371
Hg12 0.965 0.663 0.871

Top 6 peaks for 10° ≤ 2θ ≤ 90°, low angle first:
2theta  Rel. int.
26.9  48.1
32.4  89.9
32.6  84.6
34.6  100.0
35.2  61.0
38.2  54.3

---

Diffraction record for Ta8Nb2Ru. The powder diffractogram is simulated, not measured: it uses the GGA-PBE geometry in Alexandria and Cu Kα, 1.54184 Å.
Neutral-atom scattering factors, no anomalous dispersion.

Atomic structure:
Lattice parameters (Å, degrees): 7.651 7.651 5.361 100.68 100.68 41.05
Atoms (fractional coordinates):
Ta1 0.000 0.000 0.244
Ta2 0.000 0.000 0.756
Ta3 0.087 0.590 0.427
Ta4 0.398 0.398 0.955
Ta5 0.410 0.913 0.573
Ta6 0.590 0.087 0.427
Ta7 0.602 0.602 0.045
Ta8 0.913 0.410 0.573
Nb1 0.194 0.194 0.068
Nb2 0.806 0.806 0.932
Ru1 0.500 0.500 0.500

Top 6 peaks for 10° ≤ 2θ ≤ 90°, low angle first:
2theta  Rel. int.
35.8  52.3
36.1  61.2
37.6  97.2
38.5  100.0
38.9  86.4
43.9  56.7

---

Diffraction record for Ba4RhCl2. The powder diffractogram is simulated, not measured: it uses the GGA-PBE geometry in Alexandria and Cu Kα, 1.54184 Å.
Neutral-atom scattering factors, no anomalous dispersion.

Atomic structure:
Lattice parameters (Å, degrees): 9.258 9.258 7.560 113.51 113.51 28.27
Atoms (fractional coordinates):
Ba1 0.108 0.108 0.270
Ba2 0.388 0.388 0.209
Ba3 0.612 0.612 0.791
Ba4 0.892 0.892 0.730
Rh1 0.500 0.500 0.000
Cl1 0.242 0.242 0.757
Cl2 0.758 0.758 0.243

Top 6 peaks for 10° ≤ 2θ ≤ 90°, low angle first:
2theta  Rel. int.
25.3  87.8
25.5  100.0
25.9  44.9
31.7  87.5
40.5  63.3
41.0  62.6

---

Diffraction record for NaTlSbAu. The powder diffractogram is simulated, not measured: it uses the GGA-PBE geometry in Alexandria and Cu Kα, 1.54184 Å.
Neutral-atom scattering factors, no anomalous dispersion.

Atomic structure:
Lattice parameters (Å, degrees): 4.651 4.651 8.005 106.70 106.70 59.97
Atoms (fractional coordinates):
Na1 0.000 0.000 0.000
Tl1 0.144 0.144 0.432
Sb1 0.580 0.580 0.739
Au1 0.272 0.272 0.812

Top 6 peaks for 10° ≤ 2θ ≤ 90°, low angle first:
2theta  Rel. int.
11.7  94.2
22.4  100.0
23.4  85.2
35.6  60.5
35.7  52.1
38.7  93.1

---

Diffraction record for SrGa5Ag7. The powder diffractogram is simulated, not measured: it uses the GGA-PBE geometry in Alexandria and Cu Kα, 1.54184 Å.
Neutral-atom scattering factors, no anomalous dispersion.

Atomic structure:
Lattice parameters (Å, degrees): 7.245 7.245 7.245 135.66 97.67 98.70
Atoms (fractional coordinates):
Sr1 0.000 0.000 0.000
Ga1 0.002 0.006 0.501
Ga2 0.002 0.501 0.996
Ga3 0.225 0.725 0.500
Ga4 0.504 0.006 0.004
Ga5 0.504 0.501 0.499
Ag1 0.222 0.505 0.717
Ag2 0.343 0.343 0.000
Ag3 0.349 0.000 0.350
Ag4 0.648 0.648 0.000
Ag5 0.650 0.000 0.650
Ag6 0.780 0.280 0.500
Ag7 0.788 0.505 0.283

Top 6 peaks for 10° ≤ 2θ ≤ 90°, low angle first:
2theta  Rel. int.
32.6  36.0
32.8  59.9
37.9  88.2
38.0  94.6
42.5  43.1
42.7  100.0

---

Diffraction record for Ce2As3Rh2. The powder diffractogram is simulated, not measured: it uses the GGA-PBE geometry in Alexandria and Cu Kα, 1.54184 Å.
Neutral-atom scattering factors, no anomalous dispersion.

Atomic structure:
Lattice parameters (Å, degrees): 9.538 9.538 7.199 90.00 90.00 154.84
Atoms (fractional coordinates):
Ce1 0.055 0.945 0.750
Ce2 0.151 0.849 0.250
Ce3 0.849 0.151 0.750
Ce4 0.945 0.055 0.250
As1 0.222 0.778 0.750
As2 0.430 0.570 0.535
As3 0.430 0.570 0.965
As4 0.570 0.430 0.035
As5 0.570 0.430 0.465
As6 0.778 0.222 0.250
Rh1 0.299 0.701 0.048
Rh2 0.299 0.701 0.452
Rh3 0.701 0.299 0.548
Rh4 0.701 0.299 0.952

Top 6 peaks for 10° ≤ 2θ ≤ 90°, low angle first:
2theta  Rel. int.
31.4  35.2
33.3  100.0
34.7  67.5
42.4  27.7
43.6  37.4
47.8  26.3